[1]
# Mg2P2Pt
Simulated XRD peak list, Cu Ka. Input: a crystal structure in Alexandria, relaxed with GGA-PBE.

Top 12 peaks for 2θ from 5° to 70°, by intensity:
hkl 0 0 2, 2θ = 11.65°, I = 100.0; hkl 1 0 3, 2θ = 32.08°, I = 82.7; hkl 1 1 2, 2θ = 39.94°, I = 78.3; hkl 1 0 1, 2θ = 27.32°, I = 65.0; hkl 1 0 5, 2θ = 40.11°, I = 63.2; hkl 0 0 4, 2θ = 23.43°, I = 50.0; hkl 1 0 7, 2θ = 50.12°, I = 25.4; hkl 2 1 3, 2θ = 65.05°, I = 22.1; hkl 1 1 6, 2θ = 53.00°, I = 20.7; hkl 1 1 0, 2θ = 38.07°, I = 20.6; hkl 2 0 0, 2θ = 54.93°, I = 19.4; hkl 2 0 4, 2θ = 60.52°, I = 14.4

Structural model:
```
data_Mg2P2Pt
_cell_length_a 3.343
_cell_length_b 3.343
_cell_length_c 15.189
_cell_angle_alpha 90.00
_cell_angle_beta 90.00
_cell_angle_gamma 90.00
_symmetry_space_group_name_H-M 'I 4/m m m'
_symmetry_Int_Tables_number 139
_symmetry_space_group_name_Hall '-I 4 2'
loop_
_atom_site_label
_atom_site_fract_x
_atom_site_fract_y
_atom_site_fract_z
_atom_site_occupancy
Mg1 0.000 0.000 0.098 1
P1 0.000 0.500 0.250 1
Pt1 0.000 0.000 0.500 1
```

[2]
# MgP2Pt7
Simulated XRD peak list, Cu Ka. Input: a crystal structure in Alexandria, relaxed with GGA-PBE.

Top 12 peaks for 2θ from 5° to 70°, by intensity:
hkl 1 1 6, 2θ = 42.23°, I = 100.0; hkl 2 0 0, 2θ = 45.56°, I = 55.9; hkl 1 1 0, 2θ = 31.78°, I = 55.4; hkl 0 0 6, 2θ = 27.08°, I = 23.6; hkl 1 1 4, 2θ = 36.74°, I = 22.0; hkl 0 0 8, 2θ = 36.38°, I = 21.9; hkl 2 0 8, 2θ = 59.65°, I = 21.4; hkl 2 2 0, 2θ = 66.41°, I = 18.4; hkl 1 1 2, 2θ = 33.08°, I = 17.5; hkl 2 0 6, 2θ = 53.81°, I = 14.9; hkl 1 1 8, 2θ = 49.07°, I = 14.6; hkl 1 0 1, 2θ = 22.78°, I = 13.0

Structural model:
```
data_MgP2Pt7
_cell_length_a 3.982
_cell_length_b 3.982
_cell_length_c 19.756
_cell_angle_alpha 90.00
_cell_angle_beta 90.00
_cell_angle_gamma 90.00
_symmetry_space_group_name_H-M 'I 4/m m m'
_symmetry_Int_Tables_number 139
_symmetry_space_group_name_Hall '-I 4 2'
loop_
_atom_site_label
_atom_site_fract_x
_atom_site_fract_y
_atom_site_fract_z
_atom_site_occupancy
Mg1 0.000 0.000 0.000 1
P1 0.000 0.000 0.329 1
Pt1 0.000 0.000 0.500 1
Pt2 0.000 0.500 0.104 1
Pt3 0.000 0.500 0.250 1
```